1.
Structure and calculated PXRD pattern of MgHg5 (the GGA-PBE geometry in the Materials Project; Cu Kα (weighted mean of Kα1 and Kα2)).
No peak broadening, texture or thermal motion is included.

Main lines, in order of falling intensity (5° ≤ 2θ ≤ 70°):
2θ 34.6, 2.591 Å, I 100
2θ 27.8, 3.211 Å, I 33
2θ 49.1, 1.854 Å, I 26
2θ 61.5, 1.508 Å, I 19
2θ 66.0, 1.416 Å, I 19
2θ 6.7, 13.158 Å, I 13
2θ 41.2, 2.193 Å, I 12
2θ 50.4, 1.811 Å, I 11

Structural model:
```
MgHg5
1.0
3.708 0.000 0.000
-1.854 3.211 0.000
0.000 0.000 13.158
Mg Hg
1 5
Cartesian
0.000 0.000 0.000
0.000 0.000 4.294
0.000 0.000 8.864
0.000 2.141 1.993
0.000 2.141 6.579
0.000 2.141 11.165
```

=====

2.
Structure and calculated PXRD pattern of MgTi2Zn2O6 (the GGA-PBE geometry in the Materials Project; Cu Kα (weighted mean of Kα1 and Kα2)).
No peak broadening, texture or thermal motion is included.

Main lines, in order of falling intensity (5° ≤ 2θ ≤ 70°):
2θ 21.2, 4.181 Å, I 100
2θ 31.3, 2.861 Å, I 99
2θ 18.2, 4.880 Å, I 90
2θ 34.6, 2.590 Å, I 86
2θ 32.8, 2.731 Å, I 80
2θ 16.8, 5.281 Å, I 74
2θ 35.4, 2.537 Å, I 68
2θ 35.9, 2.504 Å, I 68

Structural model:
```
MgTi2Zn2O6
1.0
5.234 0.000 0.000
1.354 5.411 0.000
1.827 1.157 5.179
Mg Ti Zn O
1 2 2 6
Cartesian
0.000 0.000 0.000
3.800 5.461 2.814
4.615 1.107 2.365
4.120 2.820 5.146
4.295 3.748 0.033
1.318 0.601 1.345
4.157 4.699 4.594
3.184 1.786 3.557
5.231 4.781 1.622
4.258 1.869 0.585
7.097 5.967 3.834
```

=====

3.
Structure and calculated PXRD pattern of Ce3Si2 (the GGA-PBE geometry in the Materials Project; Cu Kα (weighted mean of Kα1 and Kα2)).
No peak broadening, texture or thermal motion is included.

Main lines, in order of falling intensity (5° ≤ 2θ ≤ 70°):
2θ 31.8, 2.817 Å, I 100
2θ 33.9, 2.643 Å, I 86
2θ 37.2, 2.416 Å, I 48
2θ 55.6, 1.652 Å, I 41
2θ 26.1, 3.417 Å, I 38
2θ 27.0, 3.301 Å, I 35
2θ 58.5, 1.579 Å, I 29
2θ 33.2, 2.701 Å, I 27

Structural model:
```
Ce3Si2
1.0
7.640 0.000 0.000
0.000 7.640 0.000
0.000 0.000 4.171
Ce Si
6 4
Cartesian
0.000 0.000 0.000
1.373 2.447 2.085
2.447 6.266 2.085
3.820 3.820 0.000
5.193 1.373 2.085
6.266 5.193 2.085
0.869 4.689 0.000
2.951 0.869 0.000
4.689 6.771 0.000
6.771 2.951 0.000
```

=====

4.
Structure and calculated PXRD pattern of ZrB (the GGA-PBE geometry in the Materials Project; Cu Kα (weighted mean of Kα1 and Kα2)).
No peak broadening, texture or thermal motion is included.

Main lines, in order of falling intensity (5° ≤ 2θ ≤ 70°):
2θ 33.3, 2.688 Å, I 100
2θ 50.4, 1.810 Å, I 23
2θ 45.2, 2.007 Å, I 19
2θ 62.4, 1.488 Å, I 18
2θ 34.3, 2.613 Å, I 17
2θ 60.8, 1.523 Å, I 17
2θ 28.5, 3.135 Å, I 17
2θ 61.8, 1.501 Å, I 16

Structural model:
```
ZrB
1.0
3.620 0.000 0.000
-1.810 3.135 0.000
0.000 0.000 5.226
Zr B
2 2
Cartesian
0.000 2.090 1.306
1.810 1.045 3.919
0.000 0.000 0.000
0.000 0.000 2.613
```

=====

5.
Structure and calculated PXRD pattern of LiC2N2 (the GGA-PBE geometry in the Materials Project; Cu Kα (weighted mean of Kα1 and Kα2)).
No peak broadening, texture or thermal motion is included.

Main lines, in order of falling intensity (5° ≤ 2θ ≤ 70°):
2θ 28.2, 3.164 Å, I 100
2θ 29.8, 2.994 Å, I 49
2θ 14.8, 5.988 Å, I 40
2θ 32.4, 2.767 Å, I 22
2θ 17.7, 5.015 Å, I 20
2θ 40.9, 2.205 Å, I 17
2θ 23.8, 3.732 Å, I 16
2θ 31.6, 2.829 Å, I 14

Structural model:
```
LiC2N2
1.0
3.786 -5.015 0.000
3.786 5.015 0.000
-0.585 0.000 3.427
Li C N
2 4 4
Cartesian
3.786 3.612 0.000
3.786 -3.612 0.000
2.517 0.000 1.064
3.493 1.176 1.713
3.493 -1.176 1.713
4.469 0.000 2.363
1.456 0.000 0.497
3.493 2.380 1.713
3.493 -2.380 1.713
5.530 0.000 2.929
```

=====

6.
Structure and calculated PXRD pattern of Al2Bi3O9 (the GGA-PBE geometry in the Materials Project; Cu Kα (weighted mean of Kα1 and Kα2)).
No peak broadening, texture or thermal motion is included.

Main lines, in order of falling intensity (5° ≤ 2θ ≤ 70°):
2θ 22.6, 3.934 Å, I 100
2θ 31.3, 2.858 Å, I 59
2θ 22.3, 3.993 Å, I 51
2θ 32.6, 2.750 Å, I 45
2θ 30.2, 2.961 Å, I 29
2θ 41.1, 2.197 Å, I 26
2θ 34.1, 2.632 Å, I 22
2θ 46.1, 1.967 Å, I 19

Structural model:
```
Al2Bi3O9
1.0
5.117 -2.632 0.000
5.117 2.632 0.000
-0.896 0.000 13.890
Al Bi O
4 6 18
Cartesian
4.669 2.616 6.945
2.878 0.055 9.018
3.326 -0.055 2.073
5.117 -2.616 0.000
-0.060 0.080 10.270
0.388 -0.080 3.325
3.758 0.016 5.259
3.310 -0.016 12.204
6.892 0.025 7.546
7.340 -0.025 0.601
1.446 0.671 1.087
4.071 1.613 1.453
2.429 0.755 3.605
3.462 1.085 7.469
5.240 1.640 5.460
0.998 -0.671 8.032
4.195 0.575 10.247
5.080 1.092 13.287
1.981 -0.755 10.550
7.173 1.147 2.338
4.643 -0.575 3.302
3.910 -1.085 0.523
3.623 -1.613 8.398
8.192 0.527 5.894
5.528 -1.092 6.342
4.792 -1.640 12.405
6.725 -1.147 9.283
7.744 -0.527 12.839
```